Starting from a cell relaxed with PBE, the PXRD pattern of BeNF2 was simulated for Cu Kα (weighted mean of Kα1 and Kα2).

abc: 7.298 7.298 7.298
angles: 90.00 90.00 90.00
Space group Fd-3m (No. 227, origin choice 2)
Unique sites:
Be 0.125 0.125 0.125 x8
N 0.125 0.125 0.625 x8
F 0.000 0.000 0.000 x16

Peak list (6 most intense, 2θ = 15–90°, by angle)
(hkl)	2θ (°)	d/Å	I (rel.)
1 1 1	21.09	4.213	78
2 2 0	34.77	2.580	54
3 1 1	41.02	2.200	100
2 2 2	42.93	2.107	72
5 1 1	66.58	1.404	19
4 4 0	73.39	1.290	32